Simulated XRD peak list
Compound: BaNi4O7
Radiation: Cu Kα X-rays
Structure: a DFT-relaxed cell (GGA+U, Alexandria)
Peak positions follow from Bragg's law for the DFT cell and can differ from measured ones.

```
data_BaNi4O7
_chemical_formula_sum 'Ba2 Ni8 O14'
_cell_length_a 6.247
_cell_length_b 6.247
_cell_length_c 10.251
_cell_angle_alpha 90.00
_cell_angle_beta 90.00
_cell_angle_gamma 120.00
_symmetry_space_group_name_H-M 'P 1'
_symmetry_Int_Tables_number 1
_symmetry_space_group_name_Hall 'P 1'
loop_
_atom_site_label
_atom_site_type_symbol
_atom_site_fract_x
_atom_site_fract_y
_atom_site_fract_z
Ba1 Ba 0.333 0.667 0.000
Ba2 Ba 0.667 0.333 0.500
Ni1 Ni 0.000 0.000 0.443
Ni2 Ni 0.000 0.000 0.943
Ni3 Ni 0.172 0.343 0.684
Ni4 Ni 0.172 0.828 0.684
Ni5 Ni 0.343 0.172 0.184
Ni6 Ni 0.657 0.828 0.684
Ni7 Ni 0.828 0.172 0.184
Ni8 Ni 0.828 0.657 0.184
O1 O 0.000 0.000 0.252
O2 O 0.000 0.000 0.752
O3 O 0.014 0.507 0.743
O4 O 0.158 0.316 0.506
O5 O 0.158 0.842 0.506
O6 O 0.316 0.158 0.006
O7 O 0.493 0.507 0.743
O8 O 0.493 0.986 0.743
O9 O 0.507 0.014 0.243
O10 O 0.507 0.493 0.243
O11 O 0.684 0.842 0.506
O12 O 0.842 0.158 0.006
O13 O 0.842 0.684 0.006
O14 O 0.986 0.493 0.243
```

Largest 10 diffraction maxima, in order of falling intensity, 2θ from 5° to 70°:
| 2theta | d [Å] | I (rel.) |
| --- | --- | --- |
| 34.3 | 2.616 | 100 |
| 33.6 | 2.667 | 73 |
| 18.5 | 4.785 | 57 |
| 31.0 | 2.889 | 45 |
| 59.2 | 1.562 | 30 |
| 56.3 | 1.634 | 29 |
| 35.0 | 2.563 | 26 |
| 53.9 | 1.701 | 19 |
| 52.1 | 1.755 | 16 |
| 17.3 | 5.125 | 16 |